For LiB2SbO6, a crystal structure in the Materials Project, relaxed with GGA-PBE gives the theoretical powder X-ray diffraction pattern in this record (Cu Kα (weighted mean of Kα1 and Kα2)).

Crystal structure
```
LiB2SbO6
1.0
5.1329 0.0000 0.0000
0.0000 8.9798 0.0000
-3.3437 0.0000 10.7919
Li B Sb O
4 8 4 24
direct
0.0704 0.0386 0.3934
0.0704 0.4614 0.8934
0.9296 0.5386 0.1066
0.9296 0.9614 0.6066
0.0159 0.1353 0.8660
0.0159 0.3647 0.3660
0.4515 0.1977 0.6152
0.4515 0.3023 0.1152
0.5485 0.6977 0.8848
0.5485 0.8023 0.3848
0.9841 0.6353 0.6340
0.9841 0.8647 0.1340
0.0141 0.1991 0.1309
0.0141 0.3009 0.6309
0.9859 0.6991 0.3691
0.9859 0.8009 0.8691
0.0755 0.0016 0.8194
0.0755 0.4984 0.3194
0.0808 0.2346 0.3141
0.0808 0.2654 0.8141
0.1179 0.6455 0.5454
0.1179 0.8545 0.0454
0.2145 0.1105 0.5853
0.2145 0.3895 0.0853
0.2996 0.6541 0.8966
0.2996 0.8459 0.3966
0.4096 0.1604 0.1536
0.4096 0.3396 0.6536
0.5904 0.6604 0.3464
0.5904 0.8396 0.8464
0.7004 0.1541 0.6034
0.7004 0.3459 0.1034
0.7855 0.6105 0.9147
0.7855 0.8895 0.4147
0.8821 0.1455 0.9546
0.8821 0.3545 0.4546
0.9192 0.7346 0.1859
0.9192 0.7654 0.6859
0.9245 0.5016 0.6806
0.9245 0.9984 0.1806
```

Principal peaks in the range 2θ from 5° to 70°, low angle first:
2θ 18.1, intensity 77.5, (1 0 0); 2θ 19.2, intensity 100.0, (0 1 2); 2θ 19.8, intensity 35.7, (0 2 0); 2θ 22.8, intensity 24.6, (1 1 -2); 2θ 26.9, intensity 15.9, (1 2 0); 2θ 33.2, intensity 21.3, (0 0 4); 2θ 34.8, intensity 13.7, (1 3 -1); 2θ 46.7, intensity 15.7, (2 3 -1)